This entry pairs a crystal structure of Dy3ErTh3 with its simulated X-ray powder pattern. Radiation: Cu Kα, 1.54184 Å. Structure: a DFT-relaxed cell (PBE, Alexandria).
Kinematic intensities with the Lorentz-polarization factor, no thermal factor.

Main lines, low angle first (2θ from 5° to 70°):
- 2θ 10.82, intensity 4
- 2θ 28.90, intensity 23
- 2θ 30.67, intensity 26
- 2θ 32.81, intensity 100
- 2θ 42.65, intensity 16
- 2θ 51.22, intensity 19
- 2θ 55.90, intensity 22
- 2θ 60.89, intensity 23
- 2θ 62.17, intensity 16
- 2θ 68.78, intensity 4

Structure:
```
data_Dy3ErTh3
_cell_length_a 9.4378
_cell_length_b 9.4378
_cell_length_c 5.8298
_cell_angle_alpha 90.00
_cell_angle_beta 90.00
_cell_angle_gamma 120.00
_symmetry_space_group_name_H-M 'P 63/m'
_symmetry_Int_Tables_number 176
_symmetry_space_group_name_Hall '-P 6c'
loop_
_atom_site_label
_atom_site_type_symbol
_atom_site_fract_x
_atom_site_fract_y
_atom_site_fract_z
Dy1 Dy 0.0920 0.6212 0.2500
Er1 Er 0.3333 0.6667 0.7500
Th1 Th 0.0483 0.8134 0.7500
```

=====

This entry pairs a crystal structure of RbMg3Pb9 with its simulated X-ray powder pattern. Radiation: Cu Kα, 1.54184 Å. Structure: a DFT-relaxed cell (PBE, Alexandria).
Kinematic intensities with the Lorentz-polarization factor, no thermal factor.

Main lines, low angle first (2θ from 5° to 70°):
- 2θ 16.45, intensity 48
- 2θ 28.08, intensity 56
- 2θ 28.51, intensity 82
- 2θ 30.90, intensity 100
- 2θ 31.57, intensity 81
- 2θ 31.89, intensity 72
- 2θ 33.30, intensity 60
- 2θ 34.77, intensity 53
- 2θ 35.95, intensity 56
- 2θ 36.80, intensity 49

Structure:
```
data_RbMg3Pb9
_cell_length_a 6.270
_cell_length_b 16.582
_cell_length_c 8.223
_cell_angle_alpha 90.00
_cell_angle_beta 109.15
_cell_angle_gamma 90.00
_symmetry_space_group_name_H-M 'C 1 2/m 1'
_symmetry_Int_Tables_number 12
_symmetry_space_group_name_Hall '-C 2y'
loop_
_atom_site_label
_atom_site_type_symbol
_atom_site_fract_x
_atom_site_fract_y
_atom_site_fract_z
Rb1 Rb 0.000 0.000 0.000
Mg1 Mg 0.000 0.500 0.500
Mg2 Mg 0.250 0.250 0.000
Pb1 Pb 0.000 0.000 0.500
Pb2 Pb 0.097 0.387 0.216
Pb3 Pb 0.161 0.180 0.346
```

=====

This entry pairs a crystal structure of Cs3Li2Br5 with its simulated X-ray powder pattern. Radiation: Cu Kα, 1.54184 Å. Structure: a DFT-relaxed cell (PBE, Alexandria).
Kinematic intensities with the Lorentz-polarization factor, no thermal factor.

Main lines, low angle first (2θ from 5° to 70°):
- 2θ 27.74, intensity 26
- 2θ 28.30, intensity 100
- 2θ 28.48, intensity 24
- 2θ 40.18, intensity 16
- 2θ 40.71, intensity 10
- 2θ 49.42, intensity 18
- 2θ 49.98, intensity 10
- 2θ 50.32, intensity 15
- 2θ 50.43, intensity 10
- 2θ 58.53, intensity 11

Structure:
```
data_Cs3Li2Br5
_cell_length_a 7.677
_cell_length_b 25.723
_cell_length_c 4.433
_cell_angle_alpha 90.00
_cell_angle_beta 125.27
_cell_angle_gamma 90.00
_symmetry_space_group_name_H-M 'C 1 m 1'
_symmetry_Int_Tables_number 8
_symmetry_space_group_name_Hall 'C -2y'
loop_
_atom_site_label
_atom_site_type_symbol
_atom_site_fract_x
_atom_site_fract_y
_atom_site_fract_z
Cs1 Cs 0.000 0.000 0.000
Cs2 Cs 0.496 0.123 0.495
Li1 Li 0.472 0.285 0.470
Br1 Br 0.002 0.500 0.003
Br2 Br 0.008 0.118 0.507
Br3 Br 0.073 0.261 0.072
```

=====

This entry pairs a crystal structure of Pr2Er6Th with its simulated X-ray powder pattern. Radiation: Cu Kα, 1.54184 Å. Structure: a DFT-relaxed cell (PBE, Alexandria).
Kinematic intensities with the Lorentz-polarization factor, no thermal factor.

Main lines, low angle first (2θ from 5° to 70°):
- 2θ 25.57, intensity 6
- 2θ 31.55, intensity 91
- 2θ 31.74, intensity 100
- 2θ 41.19, intensity 10
- 2θ 45.36, intensity 34
- 2θ 52.53, intensity 8
- 2θ 56.42, intensity 35
- 2θ 56.54, intensity 20
- 2θ 62.68, intensity 24
- 2θ 66.31, intensity 12

Structure:
```
data_Pr2Er6Th
_cell_length_a 16.910
_cell_length_b 9.768
_cell_length_c 3.484
_cell_angle_alpha 90.00
_cell_angle_beta 90.10
_cell_angle_gamma 90.00
_symmetry_space_group_name_H-M 'C 1 2/m 1'
_symmetry_Int_Tables_number 12
_symmetry_space_group_name_Hall '-C 2y'
loop_
_atom_site_label
_atom_site_type_symbol
_atom_site_fract_x
_atom_site_fract_y
_atom_site_fract_z
Pr1 Pr 0.167 0.000 0.000
Er1 Er 0.000 0.170 0.500
Er2 Er 0.165 0.335 0.501
Th1 Th 0.000 0.500 0.000
```

=====

This entry pairs a crystal structure of Tm2ScAg3 with its simulated X-ray powder pattern. Radiation: Cu Kα, 1.54184 Å. Structure: a DFT-relaxed cell (PBE, Alexandria).
Kinematic intensities with the Lorentz-polarization factor, no thermal factor.

Main lines, low angle first (2θ from 5° to 70°):
- 2θ 7.21, intensity 3
- 2θ 21.73, intensity 8
- 2θ 25.15, intensity 2
- 2θ 30.04, intensity 2
- 2θ 35.86, intensity 100
- 2θ 42.32, intensity 4
- 2θ 51.62, intensity 17
- 2θ 56.65, intensity 2
- 2θ 64.45, intensity 35
- 2θ 68.89, intensity 1

Structure:
```
data_Tm2ScAg3
_cell_length_a 5.0093
_cell_length_b 5.0093
_cell_length_c 12.2613
_cell_angle_alpha 90.00
_cell_angle_beta 90.00
_cell_angle_gamma 120.00
_symmetry_space_group_name_H-M 'P -3 m 1'
_symmetry_Int_Tables_number 164
_symmetry_space_group_name_Hall '-P 3 2"'
loop_
_atom_site_label
_atom_site_type_symbol
_atom_site_fract_x
_atom_site_fract_y
_atom_site_fract_z
Tm1 Tm 0.0000 0.0000 0.0000
Tm2 Tm 0.0000 0.0000 0.5000
Tm3 Tm 0.3333 0.6667 0.1706
Sc1 Sc 0.3333 0.6667 0.6654
Ag1 Ag 0.0000 0.0000 0.2538
Ag2 Ag 0.3333 0.6667 0.4185
Ag3 Ag 0.3333 0.6667 0.9129
```

=====

This entry pairs a crystal structure of Ac5Nd4Mg with its simulated X-ray powder pattern. Radiation: Cu Kα, 1.54184 Å. Structure: a DFT-relaxed cell (PBE, Alexandria).
Kinematic intensities with the Lorentz-polarization factor, no thermal factor.

Main lines, low angle first (2θ from 5° to 70°):
- 2θ 20.16, intensity 11
- 2θ 28.67, intensity 57
- 2θ 30.07, intensity 100
- 2θ 40.99, intensity 22
- 2θ 45.01, intensity 8
- 2θ 51.67, intensity 45
- 2θ 54.24, intensity 19
- 2θ 62.50, intensity 12
- 2θ 67.23, intensity 10
- 2θ 67.97, intensity 10

Structure:
```
data_Ac5Nd4Mg
_cell_length_a 4.404
_cell_length_b 4.404
_cell_length_c 20.140
_cell_angle_alpha 90.00
_cell_angle_beta 90.00
_cell_angle_gamma 90.00
_symmetry_space_group_name_H-M 'P 4/m m m'
_symmetry_Int_Tables_number 123
_symmetry_space_group_name_Hall '-P 4 2'
loop_
_atom_site_label
_atom_site_type_symbol
_atom_site_fract_x
_atom_site_fract_y
_atom_site_fract_z
Ac1 Ac 0.000 0.000 0.000
Ac2 Ac 0.000 0.000 0.197
Ac3 Ac 0.000 0.000 0.406
Nd1 Nd 0.500 0.500 0.100
Nd2 Nd 0.500 0.500 0.298
Mg1 Mg 0.500 0.500 0.500
```

=====

This entry pairs a crystal structure of MgTe2Se2 with its simulated X-ray powder pattern. Radiation: Cu Kα, 1.54184 Å. Structure: a DFT-relaxed cell (PBE, Alexandria).
Kinematic intensities with the Lorentz-polarization factor, no thermal factor.

Main lines, low angle first (2θ from 5° to 70°):
- 2θ 16.88, intensity 9
- 2θ 23.96, intensity 22
- 2θ 25.01, intensity 11
- 2θ 26.84, intensity 10
- 2θ 32.69, intensity 100
- 2θ 37.13, intensity 20
- 2θ 38.32, intensity 17
- 2θ 52.81, intensity 11
- 2θ 54.37, intensity 33
- 2θ 64.15, intensity 14

Structure:
```
data_MgTe2Se2
_cell_length_a 7.427
_cell_length_b 7.427
_cell_length_c 4.842
_cell_angle_alpha 90.00
_cell_angle_beta 90.00
_cell_angle_gamma 90.00
_symmetry_space_group_name_H-M 'P 4/m b m'
_symmetry_Int_Tables_number 127
_symmetry_space_group_name_Hall '-P 4 2ab'
loop_
_atom_site_label
_atom_site_type_symbol
_atom_site_fract_x
_atom_site_fract_y
_atom_site_fract_z
Mg1 Mg 0.000 0.000 0.000
Te1 Te 0.151 0.349 0.500
Se1 Se 0.197 0.697 0.000
```

=====

This entry pairs a crystal structure of Y2HoScS6 with its simulated X-ray powder pattern. Radiation: Cu Kα, 1.54184 Å. Structure: a DFT-relaxed cell (PBE, Alexandria).
Kinematic intensities with the Lorentz-polarization factor, no thermal factor.

Main lines, low angle first (2θ from 5° to 70°):
- 2θ 15.81, intensity 36
- 2θ 17.92, intensity 52
- 2θ 24.69, intensity 94
- 2θ 26.20, intensity 80
- 2θ 30.10, intensity 55
- 2θ 36.31, intensity 51
- 2θ 39.77, intensity 100
- 2θ 45.32, intensity 47
- 2θ 46.23, intensity 60
- 2θ 52.54, intensity 32

Structure:
```
data_Y2HoScS6
_cell_length_a 6.8029
_cell_length_b 6.8029
_cell_length_c 18.2391
_cell_angle_alpha 90.00
_cell_angle_beta 90.00
_cell_angle_gamma 120.00
_symmetry_space_group_name_H-M 'R 3'
_symmetry_Int_Tables_number 146
_symmetry_space_group_name_Hall 'R 3'
loop_
_atom_site_label
_atom_site_type_symbol
_atom_site_fract_x
_atom_site_fract_y
_atom_site_fract_z
Y1 Y 0.0000 0.0000 0.0000
Y2 Y 0.0000 0.0000 0.4976
Ho1 Ho 0.0000 0.0000 0.2002
Sc1 Sc 0.0000 0.0000 0.6969
S1 S 0.0369 0.3471 0.7676
S2 S 0.0424 0.6758 0.2700
```

=====

This entry pairs a crystal structure of Pm8Rh5Cl with its simulated X-ray powder pattern. Radiation: Cu Kα, 1.54184 Å. Structure: a DFT-relaxed cell (PBE, Alexandria).
Kinematic intensities with the Lorentz-polarization factor, no thermal factor.

Main lines, low angle first (2θ from 5° to 70°):
- 2θ 28.40, intensity 21
- 2θ 31.84, intensity 100
- 2θ 37.88, intensity 51
- 2θ 45.65, intensity 8
- 2θ 48.01, intensity 12
- 2θ 50.29, intensity 13
- 2θ 52.50, intensity 33
- 2θ 56.73, intensity 8
- 2θ 64.64, intensity 20
- 2θ 68.41, intensity 11

Structure:
```
data_Pm8Rh5Cl
_cell_length_a 8.890
_cell_length_b 8.890
_cell_length_c 8.882
_cell_angle_alpha 90.00
_cell_angle_beta 90.00
_cell_angle_gamma 90.00
_symmetry_space_group_name_H-M 'I -4'
_symmetry_Int_Tables_number 82
_symmetry_space_group_name_Hall 'I -4'
loop_
_atom_site_label
_atom_site_type_symbol
_atom_site_fract_x
_atom_site_fract_y
_atom_site_fract_z
Pm1 Pm 0.060 0.303 0.419
Pm2 Pm 0.063 0.183 0.816
Rh1 Rh 0.000 0.000 0.500
Rh2 Rh 0.121 0.245 0.119
Cl1 Cl 0.000 0.500 0.750
```

=====

This entry pairs a crystal structure of CsRb2PtO4 with its simulated X-ray powder pattern. Radiation: Cu Kα, 1.54184 Å. Structure: a DFT-relaxed cell (PBE, Alexandria).
Kinematic intensities with the Lorentz-polarization factor, no thermal factor.

Main lines, low angle first (2θ from 5° to 70°):
- 2θ 14.03, intensity 16
- 2θ 26.77, intensity 23
- 2θ 28.27, intensity 17
- 2θ 28.42, intensity 100
- 2θ 39.33, intensity 22
- 2θ 41.89, intensity 11
- 2θ 48.31, intensity 22
- 2θ 50.14, intensity 15
- 2θ 58.80, intensity 13
- 2θ 68.37, intensity 11

Structure:
```
data_CsRb2PtO4
_cell_length_a 4.314
_cell_length_b 6.661
_cell_length_c 12.626
_cell_angle_alpha 90.00
_cell_angle_beta 90.00
_cell_angle_gamma 90.00
_symmetry_space_group_name_H-M 'I m m m'
_symmetry_Int_Tables_number 71
_symmetry_space_group_name_Hall '-I 2 2'
loop_
_atom_site_label
_atom_site_type_symbol
_atom_site_fract_x
_atom_site_fract_y
_atom_site_fract_z
Cs1 Cs 0.000 0.000 0.000
Rb1 Rb 0.000 0.500 0.225
Pt1 Pt 0.000 0.000 0.500
O1 O 0.000 0.203 0.392
```

=====

This entry pairs a crystal structure of W2Au with its simulated X-ray powder pattern. Radiation: Cu Kα, 1.54184 Å. Structure: a DFT-relaxed cell (PBE, Alexandria).
Kinematic intensities with the Lorentz-polarization factor, no thermal factor.

Main lines, low angle first (2θ from 5° to 70°):
- 2θ 19.34, intensity 1
- 2θ 28.52, intensity 2
- 2θ 38.23, intensity 59
- 2θ 39.25, intensity 2
- 2θ 40.02, intensity 100
- 2θ 55.18, intensity 21
- 2θ 55.95, intensity 3
- 2θ 57.30, intensity 1
- 2θ 60.50, intensity 6
- 2θ 69.79, intensity 1

Structure:
```
data_W2Au
_cell_length_a 3.329
_cell_length_b 3.329
_cell_length_c 9.181
_cell_angle_alpha 90.00
_cell_angle_beta 90.00
_cell_angle_gamma 90.00
_symmetry_space_group_name_H-M 'I 4/m m m'
_symmetry_Int_Tables_number 139
_symmetry_space_group_name_Hall '-I 4 2'
loop_
_atom_site_label
_atom_site_type_symbol
_atom_site_fract_x
_atom_site_fract_y
_atom_site_fract_z
W1 W 0.000 0.000 0.181
Au1 Au 0.000 0.000 0.500
```